Entry 1:
The following is a theoretical powder X-ray diffraction pattern of Rb2Ho2TeS6. It was derived from a GGA-PBE-relaxed structure, using Cu Kα X-rays.
Peak positions follow from Bragg's law for the DFT cell and can differ from measured ones.

Top 6 peaks for 2θ from 10° to 90°, sorted by position:
(hkl)  Position (°2θ)  intensity
0 0 1  11.22  66.5
0 0 2  22.55  23.9
2 0 0  26.92  36.8
1 3 1  29.98  100.0
2 0 2  40.17  36.2
3 3 -1  45.48  21.5

Crystal structure
```
data_Rb2Ho2TeS6
_chemical_formula_sum 'Rb4 Ho4 Te2 S12'
_symmetry_space_group_name_H-M 'C 1 2/m 1'
_symmetry_Int_Tables_number 12
_symmetry_space_group_name_Hall '-C 2y'
_cell_length_a 6.9159
_cell_length_b 11.9256
_cell_length_c 8.2144
_cell_angle_alpha 90.00
_cell_angle_beta 106.29
_cell_angle_gamma 90.00
loop_
_atom_site_label
_atom_site_fract_x
_atom_site_fract_y
_atom_site_fract_z
Rb1 0.0000 0.1676 0.0000
Ho1 0.0000 0.3335 0.5000
Te1 0.0000 0.0000 0.5000
S1 0.2256 0.1637 0.6862
S2 0.2364 0.5000 0.6865
```

Entry 2:
The following is a theoretical powder X-ray diffraction pattern of Sc3Te4. It was derived from a GGA-PBE-relaxed structure, using Cu Kα X-rays.
Peak positions follow from Bragg's law for the DFT cell and can differ from measured ones.

Top 6 peaks for 2θ from 10° to 90°, sorted by position:
(hkl)  Position (°2θ)  intensity
4 0 -2  27.95  51.2
1 1 1  28.17  100.0
3 1 1  36.41  26.5
5 1 -1  36.51  21.1
3 1 -3  43.46  31.7
7 1 -1  47.55  22.6

Crystal structure
```
data_Sc3Te4
_chemical_formula_sum 'Sc6 Te8'
_symmetry_space_group_name_H-M 'C 1 2/m 1'
_symmetry_Int_Tables_number 12
_symmetry_space_group_name_Hall '-C 2y'
_cell_length_a 15.3583
_cell_length_b 4.1218
_cell_length_c 7.2392
_cell_angle_alpha 90.00
_cell_angle_beta 117.91
_cell_angle_gamma 90.00
loop_
_atom_site_label
_atom_site_fract_x
_atom_site_fract_y
_atom_site_fract_z
Sc1 0.0000 0.0000 0.0000
Sc2 0.2468 0.5000 0.7272
Te1 0.1185 0.0000 0.4531
Te2 0.1284 0.5000 0.9604
```

Entry 3:
The following is a theoretical powder X-ray diffraction pattern of HgH6Pt4. It was derived from a GGA-PBE-relaxed structure, using Cu Kα X-rays.
Peak positions follow from Bragg's law for the DFT cell and can differ from measured ones.

Top 6 peaks for 2θ from 10° to 90°, sorted by position:
(hkl)  Position (°2θ)  intensity
0 0 1  22.19  55.2
1 1 1  31.39  73.1
2 0 1  33.41  40.0
4 0 -1  34.48  84.0
2 2 0  37.01  100.0
2 2 -1  39.80  93.0

Crystal structure
```
data_HgH6Pt4
_chemical_formula_sum 'Hg2 H12 Pt8'
_symmetry_space_group_name_H-M 'C 1 m 1'
_symmetry_Int_Tables_number 8
_symmetry_space_group_name_Hall 'C -2y'
_cell_length_a 10.7893
_cell_length_b 5.5532
_cell_length_c 4.3127
_cell_angle_alpha 90.00
_cell_angle_beta 111.73
_cell_angle_gamma 90.00
loop_
_atom_site_label
_atom_site_fract_x
_atom_site_fract_y
_atom_site_fract_z
Hg1 0.0000 0.0000 0.0000
H1 0.1191 0.2778 0.5864
H2 0.1780 0.5000 0.2026
H3 0.2960 0.5000 0.8939
H4 0.3614 0.2269 0.3990
Pt1 0.0356 0.5000 0.3063
Pt2 0.2276 0.2421 0.9969
Pt3 0.3645 0.0000 0.6599
```

Entry 4:
The following is a theoretical powder X-ray diffraction pattern of SrAc4Pd4. It was derived from a GGA-PBE-relaxed structure, using Cu Kα X-rays.
Peak positions follow from Bragg's law for the DFT cell and can differ from measured ones.

Top 6 peaks for 2θ from 10° to 90°, sorted by position:
(hkl)  Position (°2θ)  intensity
1 1 1  24.65  40.7
4 0 -1  28.39  100.0
0 2 0  28.85  49.4
2 0 2  40.58  39.4
4 2 -1  40.92  75.4
2 2 2  50.55  42.0

Crystal structure
```
data_SrAc4Pd4
_chemical_formula_sum 'Sr2 Ac8 Pd8'
_symmetry_space_group_name_H-M 'C 1 2/m 1'
_symmetry_Int_Tables_number 12
_symmetry_space_group_name_Hall '-C 2y'
_cell_length_a 14.0559
_cell_length_b 6.1887
_cell_length_c 9.9347
_cell_angle_alpha 90.00
_cell_angle_beta 134.93
_cell_angle_gamma 90.00
loop_
_atom_site_label
_atom_site_fract_x
_atom_site_fract_y
_atom_site_fract_z
Sr1 0.0000 0.0000 0.0000
Ac1 0.1057 0.5000 0.4197
Ac2 0.1857 0.0000 0.7914
Pd1 0.1065 0.0000 0.4093
Pd2 0.1971 0.5000 0.8035
```

Entry 5:
The following is a theoretical powder X-ray diffraction pattern of DyThSc5. It was derived from a GGA-PBE-relaxed structure, using Cu Kα X-rays.
Peak positions follow from Bragg's law for the DFT cell and can differ from measured ones.

Top 6 peaks for 2θ from 10° to 90°, sorted by position:
(hkl)  Position (°2θ)  intensity
0 2 0  19.37  79.0
2 0 -2  23.83  29.4
1 1 -3  27.00  46.0
2 2 -2  30.90  38.9
1 3 1  33.88  100.0
3 1 -1  34.38  29.7

Crystal structure
```
data_DyThSc5
_chemical_formula_sum 'Dy4 Th4 Sc20'
_symmetry_space_group_name_H-M 'C 1 2/c 1'
_symmetry_Int_Tables_number 15
_symmetry_space_group_name_Hall '-C 2yc'
_cell_length_a 8.1971
_cell_length_b 9.1607
_cell_length_c 10.6728
_cell_angle_alpha 90.00
_cell_angle_beta 110.04
_cell_angle_gamma 90.00
loop_
_atom_site_label
_atom_site_fract_x
_atom_site_fract_y
_atom_site_fract_z
Dy1 0.2500 0.2500 0.0000
Th1 0.0000 0.2407 0.2500
Sc1 0.0000 0.4131 0.7500
Sc2 0.1229 0.0750 0.6625
Sc3 0.1712 0.4029 0.5363
```

Entry 6:
The following is a theoretical powder X-ray diffraction pattern of Ga2HgGeSe6. It was derived from a GGA-PBE-relaxed structure, using Cu Kα X-rays.
Peak positions follow from Bragg's law for the DFT cell and can differ from measured ones.

Top 6 peaks for 2θ from 10° to 90°, sorted by position:
(hkl)  Position (°2θ)  intensity
0 2 1  18.79  72.7
2 2 0  19.10  100.0
1 3 1  26.35  87.8
4 0 -2  30.51  43.1
3 3 1  36.46  56.3
0 6 0  37.62  48.1

Crystal structure
```
data_Ga2HgGeSe6
_chemical_formula_sum 'Ga8 Hg4 Ge4 Se24'
_symmetry_space_group_name_H-M 'C 1 2/c 1'
_symmetry_Int_Tables_number 15
_symmetry_space_group_name_Hall '-C 2yc'
_cell_length_a 13.6084
_cell_length_b 14.3466
_cell_length_c 6.9991
_cell_angle_alpha 90.00
_cell_angle_beta 116.32
_cell_angle_gamma 90.00
loop_
_atom_site_label
_atom_site_fract_x
_atom_site_fract_y
_atom_site_fract_z
Ga1 0.2121 0.0685 0.1966
Hg1 0.0000 0.2407 0.2500
Ge1 0.0000 0.3052 0.7500
Se1 0.0935 0.3908 0.5873
Se2 0.1373 0.2349 0.0802
Se3 0.1572 0.0664 0.4816
```

Entry 7:
The following is a theoretical powder X-ray diffraction pattern of MgB8. It was derived from a GGA-PBE-relaxed structure, using Cu Kα X-rays.
Peak positions follow from Bragg's law for the DFT cell and can differ from measured ones.

Top 6 peaks for 2θ from 10° to 90°, sorted by position:
(hkl)  Position (°2θ)  intensity
0 0 1  26.95  76.0
1 1 -1  32.99  95.4
2 2 0  38.70  89.4
2 0 1  41.38  49.7
0 4 0  48.10  100.0
3 3 -1  66.17  36.4

Crystal structure
```
data_MgB8
_chemical_formula_sum 'Mg2 B16'
_symmetry_space_group_name_H-M 'C 1 2/m 1'
_symmetry_Int_Tables_number 12
_symmetry_space_group_name_Hall '-C 2y'
_cell_length_a 5.9028
_cell_length_b 7.5648
_cell_length_c 3.3085
_cell_angle_alpha 90.00
_cell_angle_beta 91.06
_cell_angle_gamma 90.00
loop_
_atom_site_label
_atom_site_fract_x
_atom_site_fract_y
_atom_site_fract_z
Mg1 0.0000 0.0000 0.0000
B1 0.0000 0.3059 0.0000
B2 0.0830 0.5000 0.7202
B3 0.2447 0.2932 0.7402
```

Entry 8:
The following is a theoretical powder X-ray diffraction pattern of Co4Re. It was derived from a GGA-PBE-relaxed structure, using Cu Kα X-rays.
Peak positions follow from Bragg's law for the DFT cell and can differ from measured ones.

Top 6 peaks for 2θ from 10° to 90°, sorted by position:
(hkl)  Position (°2θ)  intensity
0 0 6  17.30  23.6
0 1 5  42.78  100.0
0 0 15  44.18  29.4
1 0 10  50.24  60.9
1 1 0  72.78  19.4
1 1 15  89.25  22.3

Crystal structure
```
data_Co4Re
_chemical_formula_sum 'Co12 Re3'
_symmetry_space_group_name_H-M 'R -3 m'
_symmetry_Int_Tables_number 166
_symmetry_space_group_name_Hall '-R 3 2"'
_cell_length_a 2.5989
_cell_length_b 2.5989
_cell_length_c 30.7465
_cell_angle_alpha 90.00
_cell_angle_beta 90.00
_cell_angle_gamma 120.00
loop_
_atom_site_label
_atom_site_fract_x
_atom_site_fract_y
_atom_site_fract_z
Co1 0.0000 0.0000 0.0965
Co2 0.0000 0.0000 0.3011
Re1 0.0000 0.0000 0.5000
```

Entry 9:
The following is a theoretical powder X-ray diffraction pattern of Er3AlGa. It was derived from a GGA-PBE-relaxed structure, using Cu Kα X-rays.
Peak positions follow from Bragg's law for the DFT cell and can differ from measured ones.

Top 6 peaks for 2θ from 10° to 90°, sorted by position:
(hkl)  Position (°2θ)  intensity
1 1 2  27.59  42.0
2 0 0  28.42  27.8
1 3 1  32.19  100.0
2 0 2  36.13  35.5
0 2 3  37.68  33.9
3 3 1  52.77  38.2

Crystal structure
```
data_Er3AlGa
_chemical_formula_sum 'Er12 Al4 Ga4'
_symmetry_space_group_name_H-M 'C m m e'
_symmetry_Int_Tables_number 67
_symmetry_space_group_name_Hall '-C 2a 2'
_cell_length_a 6.2812
_cell_length_b 10.0637
_cell_length_c 8.1364
_cell_angle_alpha 90.00
_cell_angle_beta 90.00
_cell_angle_gamma 90.00
loop_
_atom_site_label
_atom_site_fract_x
_atom_site_fract_y
_atom_site_fract_z
Er1 0.0000 0.0682 0.1983
Er2 0.0000 0.2500 0.6589
Al1 0.2500 0.0000 0.5000
Ga1 0.2500 0.2500 0.0000
```

Entry 10:
The following is a theoretical powder X-ray diffraction pattern of Sr3Sn3Hg8. It was derived from a GGA-PBE-relaxed structure, using Cu Kα X-rays.
Peak positions follow from Bragg's law for the DFT cell and can differ from measured ones.

Top 6 peaks for 2θ from 10° to 90°, sorted by position:
(hkl)  Position (°2θ)  intensity
1 1 0  20.03  35.4
1 3 0  29.93  44.3
1 2 3  30.62  100.0
2 0 0  37.31  51.0
0 0 6  37.53  34.0
1 3 4  39.22  37.6

Crystal structure
```
data_Sr3Sn3Hg8
_chemical_formula_sum 'Sr6 Sn6 Hg16'
_symmetry_space_group_name_H-M 'I m m m'
_symmetry_Int_Tables_number 71
_symmetry_space_group_name_Hall '-I 2 2'
_cell_length_a 4.8200
_cell_length_b 11.4122
_cell_length_c 14.3798
_cell_angle_alpha 90.00
_cell_angle_beta 90.00
_cell_angle_gamma 90.00
loop_
_atom_site_label
_atom_site_fract_x
_atom_site_fract_y
_atom_site_fract_z
Sr1 0.0000 0.0000 0.0000
Sr2 0.0000 0.0000 0.3017
Sn1 0.0000 0.1971 0.5000
Sn2 0.0000 0.5000 0.0000
Hg1 0.0000 0.2834 0.1468
Hg2 0.0000 0.3727 0.3444
```

Entry 11:
The following is a theoretical powder X-ray diffraction pattern of P2Pb3S8. It was derived from a GGA-PBE-relaxed structure, using Cu Kα X-rays.
Peak positions follow from Bragg's law for the DFT cell and can differ from measured ones.

Top 6 peaks for 2θ from 10° to 90°, sorted by position:
(hkl)  Position (°2θ)  intensity
2 1 1  19.44  100.0
3 0 1  25.18  55.1
3 2 1  29.89  42.6
4 0 2  35.91  53.2
3 3 2  37.73  32.4
5 1 0  41.16  38.1

Crystal structure
```
data_P2Pb3S8
_chemical_formula_sum 'P8 Pb12 S32'
_symmetry_space_group_name_H-M 'P 21 3'
_symmetry_Int_Tables_number 198
_symmetry_space_group_name_Hall 'P 2ac 2ab 3'
_cell_length_a 11.1833
_cell_length_b 11.1833
_cell_length_c 11.1833
_cell_angle_alpha 90.00
_cell_angle_beta 90.00
_cell_angle_gamma 90.00
loop_
_atom_site_label
_atom_site_fract_x
_atom_site_fract_y
_atom_site_fract_z
P1 0.0737 0.0737 0.0737
P2 0.1531 0.6531 0.8469
Pb1 0.0312 0.2646 0.3587
S1 0.0050 0.7382 0.4076
S2 0.0344 0.4656 0.5344
S3 0.0483 0.5483 0.9517
S4 0.0556 0.7291 0.7089
```

Entry 12:
The following is a theoretical powder X-ray diffraction pattern of Al3Fe2Ni. It was derived from a GGA-PBE-relaxed structure, using Cu Kα X-rays.
Peak positions follow from Bragg's law for the DFT cell and can differ from measured ones.

Top 6 peaks for 2θ from 10° to 90°, sorted by position:
(hkl)  Position (°2θ)  intensity
1 0 0  30.93  21.7
1 1 0  44.31  51.5
1 0 3  44.70  100.0
2 0 0  64.45  15.7
2 1 3  81.83  30.5
1 1 6  82.67  14.7

Crystal structure
```
data_Al3Fe2Ni
_chemical_formula_sum 'Al3 Fe2 Ni1'
_symmetry_space_group_name_H-M 'P 4/m m m'
_symmetry_Int_Tables_number 123
_symmetry_space_group_name_Hall '-P 4 2'
_cell_length_a 2.8912
_cell_length_b 2.8912
_cell_length_c 8.5311
_cell_angle_alpha 90.00
_cell_angle_beta 90.00
_cell_angle_gamma 90.00
loop_
_atom_site_label
_atom_site_fract_x
_atom_site_fract_y
_atom_site_fract_z
Al1 0.0000 0.0000 0.0000
Al2 0.0000 0.0000 0.3277
Fe1 0.5000 0.5000 0.1673
Ni1 0.5000 0.5000 0.5000
```

Repeat the fourth record exactly.
The following is a theoretical powder X-ray diffraction pattern of SrAc4Pd4. It was derived from a GGA-PBE-relaxed structure, using Cu Kα X-rays.
Peak positions follow from Bragg's law for the DFT cell and can differ from measured ones.

Top 6 peaks for 2θ from 10° to 90°, sorted by position:
(hkl)  Position (°2θ)  intensity
1 1 1  24.65  40.7
4 0 -1  28.39  100.0
0 2 0  28.85  49.4
2 0 2  40.58  39.4
4 2 -1  40.92  75.4
2 2 2  50.55  42.0

Crystal structure
```
data_SrAc4Pd4
_chemical_formula_sum 'Sr2 Ac8 Pd8'
_symmetry_space_group_name_H-M 'C 1 2/m 1'
_symmetry_Int_Tables_number 12
_symmetry_space_group_name_Hall '-C 2y'
_cell_length_a 14.0559
_cell_length_b 6.1887
_cell_length_c 9.9347
_cell_angle_alpha 90.00
_cell_angle_beta 134.93
_cell_angle_gamma 90.00
loop_
_atom_site_label
_atom_site_fract_x
_atom_site_fract_y
_atom_site_fract_z
Sr1 0.0000 0.0000 0.0000
Ac1 0.1057 0.5000 0.4197
Ac2 0.1857 0.0000 0.7914
Pd1 0.1065 0.0000 0.4093
Pd2 0.1971 0.5000 0.8035
```